Structure and theoretical X-ray powder pattern of Y2MnTe4 (DFT lattice parameters and positions (GGA-PBE); Cu Kα).

Top 12 peaks for 5° ≤ 2θ ≤ 70°, by angle:
12.31 deg, intensity 88; 23.69 deg, intensity 268; 24.76 deg, intensity 467; 28.66 deg, intensity 954; 37.52 deg, intensity 127; 40.98 deg, intensity 1000; 48.47 deg, intensity 227; 50.78 deg, intensity 256; 56.77 deg, intensity 60; 59.35 deg, intensity 164; 65.30 deg, intensity 92; 67.22 deg, intensity 326

Crystal structure
```
14
Lattice="-4.405 4.405 6.226 4.405 -4.405 6.226 4.405 4.405 -6.226" Properties=species:S:1:pos:R:3 pbc="T T T"
Y 0.000 0.000 0.000
Y 2.203 2.203 -3.113
Y 2.203 -2.203 3.113
Y 0.000 4.405 0.000
Mn 4.405 2.203 1.556
Mn 0.000 2.203 4.669
Te 4.405 4.370 -3.136
Te 2.167 2.203 -0.023
Te 2.238 -2.203 6.203
Te 4.405 -0.036 3.136
Te 0.000 4.441 3.090
Te 2.167 6.608 0.023
Te 2.238 2.203 6.248
Te 0.000 0.036 9.361
```